Starting from DFT lattice parameters and positions (GGA-PBE), the powder diffractogram of SmInSn2Cl8 was computed for Cu Kα, 1.54184 Å.
Lines closer than 0.1° are merged.

Peak list (12 most intense, 10° ≤ 2θ ≤ 90°, in order of rising 2θ)
hkl, Position (°2θ), Rel. int.
1 1 0, 18.54, 100.0
1 -1 0, 19.00, 95.2
0 1 2, 23.02, 28.3
1 0 2, 23.62, 45.9
0 1 -2, 24.15, 27.1
1 0 -2, 24.43, 45.0
2 1 2, 35.33, 51.3
2 -1 2, 36.57, 26.9
-2 1 2, 36.91, 27.1
2 1 -2, 37.17, 25.4
0 0 4, 40.01, 24.9
0 3 2, 43.32, 36.0

Crystal structure
```
data_SmInSn2Cl8
_symmetry_space_group_name_H-M 'P -1'
_symmetry_Int_Tables_number 2
_cell_length_a 6.5087
_cell_length_b 6.8954
_cell_length_c 9.0314
_cell_angle_alpha 87.00
_cell_angle_beta 87.90
_cell_angle_gamma 88.51
loop_
_symmetry_equiv_pos_as_xyz
'x,y,z'
'-x,-y,-z'
loop_
_atom_site_label
_atom_site_type_symbol
_atom_site_fract_x
_atom_site_fract_y
_atom_site_fract_z
Sm1 Sm 0.0000 0.0000 0.0000
In1 In 0.0000 0.0000 0.5000
Sn1 Sn 0.4962 0.4892 0.7475
Cl1 Cl 0.2166 0.8194 0.7826
Cl2 Cl 0.2489 0.3163 0.9661
Cl3 Cl 0.2487 0.8554 0.2176
Cl4 Cl 0.2830 0.3562 0.5427
```